No. 1
Starting from the GGA-PBE geometry in Alexandria, the X-ray powder pattern of Pm3Pr4Ho5 was computed for Cu Kα (λ = 1.5418 Å).
Intensities are scaled so that the largest is 100.

Crystal structure
```
Pm3Pr4Ho5
1.0
6.273 0.000 0.000
-0.006 7.230 0.000
-0.006 -0.019 8.866
Pm Pr Ho
3 4 5
Direct
0.000 0.000 0.000
0.169 0.752 0.669
0.831 0.248 0.331
0.168 0.248 0.669
0.331 0.500 0.329
0.669 0.500 0.671
0.832 0.752 0.331
0.000 0.500 0.000
0.334 0.000 0.330
0.499 0.752 0.000
0.501 0.248 0.000
0.666 0.000 0.670
```

Most intense lines, 2θ from 10° to 90°, low angle first:
2theta, d/Å, I_rel
30.25, 2.955, 100
35.07, 2.559, 51
50.43, 1.810, 30
50.50, 1.807, 6
59.91, 1.544, 29
60.03, 1.541, 14
62.90, 1.478, 9
74.04, 1.280, 4
82.04, 1.175, 10
82.15, 1.173, 7
84.63, 1.145, 10
84.77, 1.144, 4


No. 2
Starting from the GGA-PBE geometry in Alexandria, the X-ray powder pattern of CsNa2NpBr8 was computed for Cu Kα (λ = 1.5418 Å).
Intensities are scaled so that the largest is 100.

Crystal structure
```
CsNa2NpBr8
1.0
6.515 0.000 0.000
-0.316 7.014 0.000
-0.095 -0.040 10.063
Cs Na Np Br
1 2 1 8
Direct
0.000 0.000 0.000
0.497 0.499 0.747
0.503 0.501 0.253
0.000 0.000 0.500
0.237 0.846 0.308
0.242 0.851 0.694
0.251 0.488 0.000
0.252 0.327 0.499
0.748 0.673 0.501
0.749 0.512 0.000
0.758 0.149 0.306
0.763 0.154 0.692
```

Most intense lines, 2θ from 10° to 90°, low angle first:
2theta, d/Å, I_rel
12.62, 7.014, 56
13.61, 6.508, 78
15.40, 5.754, 71
17.63, 5.031, 62
19.02, 4.667, 98
25.37, 3.510, 100
25.48, 3.496, 76
29.47, 3.031, 71
34.67, 2.587, 59
34.90, 2.571, 50
35.69, 2.516, 44
35.88, 2.503, 42


No. 3
Starting from the GGA-PBE geometry in Alexandria, the X-ray powder pattern of ZrAg3Mo was computed for Cu Kα (λ = 1.5418 Å).
Intensities are scaled so that the largest is 100.

Crystal structure
```
ZrAg3Mo
1.0
4.941 0.000 0.000
0.000 4.941 0.000
0.000 0.000 4.941
Zr Ag Mo
1 3 1
Direct
0.000 0.000 0.000
0.000 0.500 0.500
0.500 0.000 0.500
0.500 0.500 0.000
0.500 0.500 0.500
```

Most intense lines, 2θ from 10° to 90°, low angle first:
2theta, d/Å, I_rel
17.95, 4.941, 29
25.50, 3.494, 12
31.36, 2.852, 79
36.37, 2.470, 100
40.84, 2.209, 14
52.38, 1.747, 67
55.82, 1.647, 7
62.33, 1.490, 31
65.44, 1.426, 22
77.24, 1.235, 10
85.71, 1.133, 12
88.51, 1.105, 30


No. 4
Starting from the GGA-PBE geometry in Alexandria, the X-ray powder pattern of Sc11Ag9Pd4 was computed for Cu Kα (λ = 1.5418 Å).
Intensities are scaled so that the largest is 100.

Crystal structure
```
Sc11Ag9Pd4
1.0
6.832 -10.269 0.000
6.832 10.269 0.000
0.000 0.000 3.357
Sc Ag Pd
11 9 4
Direct
0.000 0.000 0.000
0.070 0.413 0.000
0.166 0.834 0.000
0.281 0.281 0.000
0.362 0.638 0.000
0.413 0.070 0.000
0.587 0.930 0.000
0.638 0.362 0.000
0.719 0.719 0.000
0.834 0.166 0.000
0.930 0.587 0.000
0.053 0.208 0.500
0.150 0.631 0.500
0.208 0.053 0.500
0.369 0.850 0.500
0.500 0.500 0.500
0.631 0.150 0.500
0.792 0.947 0.500
0.850 0.369 0.500
0.947 0.792 0.500
0.252 0.447 0.500
0.447 0.252 0.500
0.553 0.748 0.500
0.748 0.553 0.500
```

Most intense lines, 2θ from 10° to 90°, low angle first:
2theta, d/Å, I_rel
26.06, 3.420, 23
26.55, 3.357, 23
34.51, 2.599, 9
35.72, 2.514, 8
37.18, 2.418, 57
37.54, 2.396, 100
40.06, 2.251, 7
46.27, 1.962, 16
53.54, 1.712, 7
54.68, 1.679, 12
67.28, 1.392, 15
67.98, 1.379, 18


No. 5
Starting from the GGA-PBE geometry in Alexandria, the X-ray powder pattern of TmZn2F8 was computed for Cu Kα (λ = 1.5418 Å).
Intensities are scaled so that the largest is 100.

Crystal structure
```
TmZn2F8
1.0
-2.718 2.718 5.154
2.718 -2.718 5.154
2.718 2.718 -5.154
Tm Zn F
1 2 8
Direct
0.000 0.000 0.000
0.250 0.750 0.500
0.750 0.250 0.500
0.040 0.579 0.867
0.173 0.040 0.460
0.288 0.421 0.460
0.421 0.960 0.133
0.579 0.712 0.540
0.712 0.173 0.133
0.827 0.288 0.867
0.960 0.827 0.540
```

Most intense lines, 2θ from 10° to 90°, low angle first:
2theta, d/Å, I_rel
18.45, 4.809, 100
28.97, 3.082, 99
30.78, 2.905, 21
32.95, 2.718, 16
38.02, 2.367, 28
45.71, 1.985, 23
47.29, 1.922, 18
48.69, 1.870, 40
56.42, 1.631, 30
58.71, 1.572, 10
58.88, 1.569, 13
78.73, 1.215, 17


No. 6
Starting from the GGA-PBE geometry in Alexandria, the X-ray powder pattern of MgTaFeIr was computed for Cu Kα (λ = 1.5418 Å).
Intensities are scaled so that the largest is 100.

Crystal structure
```
MgTaFeIr
1.0
0.000 3.088 3.088
3.088 0.000 3.088
3.088 3.088 0.000
Mg Ta Fe Ir
1 1 1 1
Direct
0.000 0.000 0.000
0.500 0.500 0.500
0.750 0.750 0.750
0.250 0.250 0.250
```

Most intense lines, 2θ from 10° to 90°, low angle first:
2theta, d/Å, I_rel
24.97, 3.565, 48
28.92, 3.088, 1
41.35, 2.183, 100
48.92, 1.862, 25
59.91, 1.544, 17
65.93, 1.417, 11
75.41, 1.261, 34
80.88, 1.188, 8
89.85, 1.092, 11